This entry pairs a crystal structure of AcAgO2 with its computed X-ray diffraction stick pattern. Radiation: λ = 1.5418 Å (Cu Kα). Structure: a DFT-relaxed cell (GGA-PBE, OQMD).
No peak broadening, texture or thermal motion is included.

Most intense lines, 5 to 70 degrees two-theta, sorted by position:
14.33 deg, intensity 20; 27.65 deg, intensity 100; 28.89 deg, intensity 26; 32.41 deg, intensity 52; 45.67 deg, intensity 30; 47.29 deg, intensity 26; 54.23 deg, intensity 15; 54.95 deg, intensity 26

Cell and atoms:
```
AcAgO2
1.0
3.973 0.000 0.000
-1.987 3.441 0.000
0.000 0.000 18.541
Ac Ag O
3 3 6
direct
0.000 0.329 0.333 Ac
0.329 0.000 0.667 Ac
0.671 0.671 0.000 Ac
0.000 0.335 0.833 Ag
0.335 0.000 0.167 Ag
0.665 0.665 0.500 Ag
0.004 0.337 0.944 O
0.333 0.996 0.277 O
0.337 0.004 0.056 O
0.663 0.667 0.611 O
0.667 0.663 0.389 O
0.996 0.333 0.723 O
```

---

This entry pairs a crystal structure of Ac2AgSbO6 with its computed X-ray diffraction stick pattern. Radiation: λ = 1.5418 Å (Cu Kα). Structure: a DFT-relaxed cell (GGA-PBE, OQMD).
No peak broadening, texture or thermal motion is included.

Most intense lines, 5 to 70 degrees two-theta, sorted by position:
28.87 deg, intensity 100; 29.98 deg, intensity 41; 30.41 deg, intensity 93; 31.20 deg, intensity 41; 41.00 deg, intensity 22; 43.82 deg, intensity 42; 51.58 deg, intensity 21; 52.41 deg, intensity 23

Cell and atoms:
```
Ac2AgSbO6
1.0
5.147 -2.867 0.000
5.147 2.867 0.000
-3.096 0.000 5.114
Ac Ag Sb O
2 1 1 6
direct
0.246 0.246 0.233 Ac
0.754 0.754 0.767 Ac
0.000 0.000 0.500 Ag
0.500 0.500 0.000 Sb
0.186 0.669 0.151 O
0.291 0.291 0.677 O
0.331 0.814 0.849 O
0.669 0.186 0.151 O
0.709 0.709 0.323 O
0.814 0.331 0.849 O
```

---

This entry pairs a crystal structure of Ac3AgPd8 with its computed X-ray diffraction stick pattern. Radiation: λ = 1.5418 Å (Cu Kα). Structure: a DFT-relaxed cell (GGA-PBE, OQMD).
No peak broadening, texture or thermal motion is included.

Most intense lines, 5 to 70 degrees two-theta, sorted by position:
31.99 deg, intensity 29; 32.09 deg, intensity 36; 37.75 deg, intensity 100; 37.82 deg, intensity 38; 39.56 deg, intensity 27; 57.17 deg, intensity 18; 60.91 deg, intensity 21; 67.13 deg, intensity 19

Cell and atoms:
```
Ac3AgPd8
1.0
2.789 1.610 9.152
-2.789 1.610 9.152
0.000 -3.220 9.152
Ac Ag Pd
3 1 8
direct
0.000 0.000 0.000 Ac
0.131 0.131 0.131 Ac
0.523 0.523 0.523 Ac
0.644 0.644 0.644 Ag
0.071 0.572 0.572 Pd
0.073 0.073 0.568 Pd
0.073 0.568 0.073 Pd
0.321 0.321 0.321 Pd
0.568 0.073 0.073 Pd
0.572 0.071 0.572 Pd
0.572 0.572 0.071 Pd
0.822 0.822 0.822 Pd
```

---

This entry pairs a crystal structure of AcAgPd with its computed X-ray diffraction stick pattern. Radiation: λ = 1.5418 Å (Cu Kα). Structure: a DFT-relaxed cell (GGA-PBE, OQMD).
No peak broadening, texture or thermal motion is included.

Most intense lines, 5 to 70 degrees two-theta, sorted by position:
31.02 deg, intensity 42; 31.63 deg, intensity 100; 37.31 deg, intensity 45; 38.85 deg, intensity 24; 46.09 deg, intensity 15; 50.52 deg, intensity 22; 60.73 deg, intensity 22; 61.82 deg, intensity 12

Cell and atoms:
```
AcAgPd
1.0
4.636 0.000 0.000
0.000 3.938 0.000
0.000 0.000 8.465
Ac Ag Pd
2 2 2
direct
0.250 0.000 0.218 Ac
0.750 0.000 0.782 Ac
0.250 0.500 0.586 Ag
0.750 0.500 0.414 Ag
0.250 0.500 0.910 Pd
0.750 0.500 0.090 Pd
```

---

This entry pairs a crystal structure of Ac3Al7Pd2 with its computed X-ray diffraction stick pattern. Radiation: λ = 1.5418 Å (Cu Kα). Structure: a DFT-relaxed cell (GGA-PBE, OQMD).
No peak broadening, texture or thermal motion is included.

Most intense lines, 5 to 70 degrees two-theta, sorted by position:
17.95 deg, intensity 40; 19.69 deg, intensity 43; 29.15 deg, intensity 42; 30.81 deg, intensity 90; 31.90 deg, intensity 26; 36.83 deg, intensity 100; 58.79 deg, intensity 26; 60.44 deg, intensity 25

Cell and atoms:
```
Ac3Al7Pd2
1.0
2.902 1.676 9.016
-2.902 1.676 9.016
0.000 -3.351 9.016
Ac Al Pd
3 7 2
direct
0.000 0.000 0.000 Ac
0.144 0.144 0.144 Ac
0.856 0.856 0.856 Ac
0.068 0.580 0.580 Al
0.420 0.420 0.932 Al
0.420 0.932 0.420 Al
0.500 0.500 0.500 Al
0.580 0.068 0.580 Al
0.580 0.580 0.068 Al
0.932 0.420 0.420 Al
0.337 0.337 0.337 Pd
0.663 0.663 0.663 Pd
```

---

This entry pairs a crystal structure of AcErAsO with its computed X-ray diffraction stick pattern. Radiation: λ = 1.5418 Å (Cu Kα). Structure: a DFT-relaxed cell (GGA-PBE, OQMD).
No peak broadening, texture or thermal motion is included.

Most intense lines, 5 to 70 degrees two-theta, sorted by position:
25.57 deg, intensity 46; 28.22 deg, intensity 100; 31.43 deg, intensity 59; 32.95 deg, intensity 55; 35.09 deg, intensity 28; 39.07 deg, intensity 66; 53.02 deg, intensity 32; 54.03 deg, intensity 27

Cell and atoms:
```
AcErAsO
1.0
4.346 0.000 0.000
0.000 5.830 0.000
0.000 0.000 7.532
Ac Er As O
2 2 2 2
direct
0.000 0.114 0.000 Ac
0.000 0.886 0.500 Ac
0.500 0.363 0.345 Er
0.500 0.637 0.845 Er
0.500 0.178 0.700 As
0.500 0.822 0.200 As
0.000 0.281 0.314 O
0.000 0.719 0.814 O
```

---

This entry pairs a crystal structure of AcLuAs with its computed X-ray diffraction stick pattern. Radiation: λ = 1.5418 Å (Cu Kα). Structure: a DFT-relaxed cell (GGA-PBE, OQMD).
No peak broadening, texture or thermal motion is included.

Most intense lines, 5 to 70 degrees two-theta, sorted by position:
21.51 deg, intensity 9; 24.89 deg, intensity 55; 35.49 deg, intensity 100; 41.88 deg, intensity 5; 43.83 deg, intensity 17; 51.06 deg, intensity 18; 57.61 deg, intensity 23; 63.72 deg, intensity 37

Cell and atoms:
```
AcLuAs
1.0
0.000 3.577 3.577
3.577 0.000 3.577
3.577 3.577 0.000
Ac Lu As
1 1 1
direct
0.000 0.000 0.000 Ac
0.500 0.500 0.500 Lu
0.250 0.250 0.250 As
```

---

This entry pairs a crystal structure of AcTaAsO with its computed X-ray diffraction stick pattern. Radiation: λ = 1.5418 Å (Cu Kα). Structure: a DFT-relaxed cell (GGA-PBE, OQMD).
No peak broadening, texture or thermal motion is included.

Most intense lines, 5 to 70 degrees two-theta, sorted by position:
23.51 deg, intensity 18; 27.29 deg, intensity 25; 28.37 deg, intensity 100; 32.18 deg, intensity 69; 35.98 deg, intensity 52; 44.16 deg, intensity 47; 48.64 deg, intensity 53; 53.32 deg, intensity 36

Cell and atoms:
```
AcTaAsO
1.0
4.102 0.000 0.000
0.000 4.102 0.000
0.000 0.000 9.803
Ac Ta As O
2 2 2 2
direct
0.250 0.250 0.136 Ac
0.750 0.750 0.864 Ac
0.250 0.750 0.500 Ta
0.750 0.250 0.500 Ta
0.250 0.250 0.678 As
0.750 0.750 0.322 As
0.250 0.750 0.000 O
0.750 0.250 0.000 O
```